Record 1
Diffraction record for Ba3SrTa2O9. The powder XRD pattern is theoretical, not measured: it uses a GGA-PBE-relaxed structure and Cu Kα, 1.54184 Å.
Peak positions follow from Bragg's law for the DFT cell and can differ from measured ones.

Top 8 peaks for 2θ from 10° to 90°, low angle first:
| d/Å | 2θ (°) | I_rel |
| --- | --- | --- |
| 5.041 | 17.6 | 17 |
| 3.149 | 28.3 | 73 |
| 3.075 | 29.0 | 100 |
| 2.416 | 37.2 | 14 |
| 2.200 | 41.0 | 38 |
| 1.789 | 51.0 | 28 |
| 1.776 | 51.5 | 23 |
| 1.538 | 60.2 | 16 |

```
Ba3SrTa2O9
1.0
6.1508 0.0000 0.0000
-3.0754 5.3267 0.0000
0.0000 0.0000 15.6139
Ba Sr Ta O
6 2 4 18
Cartesian
0.0000 0.0000 3.9035
0.0000 0.0000 11.7104
0.0000 3.5512 1.8607
0.0000 3.5512 5.9463
3.0754 1.7756 9.6676
3.0754 1.7756 13.7532
0.0000 0.0000 0.0000
0.0000 0.0000 7.8069
0.0000 3.5512 10.2190
0.0000 3.5512 13.2019
3.0754 1.7756 2.4120
3.0754 1.7756 5.3949
-1.1808 2.5309 11.7104
-1.6277 4.0417 9.3391
-1.6277 4.0417 14.0818
0.3890 1.8963 9.3391
0.3890 1.8963 14.0818
1.8367 0.6113 1.5321
1.8367 0.6113 6.2748
-0.2932 5.0839 11.7104
1.6014 2.2880 3.9035
1.4740 3.0387 11.7104
3.3686 0.2429 3.9035
1.2387 4.7155 9.3391
1.2387 4.7155 14.0818
2.6864 3.4305 1.5321
2.6864 3.4305 6.2748
4.7031 1.2850 1.5321
4.7031 1.2850 6.2748
4.2562 2.7958 3.9035
```



Record 2
Diffraction record for Ba2SrTeO6. The powder XRD pattern is theoretical, not measured: it uses a GGA-PBE-relaxed structure and Cu Kα, 1.54184 Å.
Peak positions follow from Bragg's law for the DFT cell and can differ from measured ones.

Top 8 peaks for 2θ from 10° to 90°, low angle first:
| d/Å | 2θ (°) | I_rel |
| --- | --- | --- |
| 3.094 | 28.9 | 100 |
| 3.059 | 29.2 | 99 |
| 2.175 | 41.5 | 57 |
| 1.787 | 51.1 | 22 |
| 1.780 | 51.3 | 42 |
| 1.759 | 52.0 | 19 |
| 1.381 | 67.9 | 18 |
| 1.371 | 68.4 | 19 |

```
Ba2SrTeO6
1.0
3.0945 1.7866 4.9666
-3.0945 1.7866 4.9666
0.0000 -3.5732 4.9666
Ba Sr Te O
2 1 1 6
Cartesian
0.0000 0.0000 3.6943
0.0000 0.0000 11.2056
0.0000 0.0000 7.4499
0.0000 0.0000 0.0000
-1.8905 0.7267 6.0976
-1.5746 -1.2739 8.8023
0.3160 -2.0006 6.0976
-0.3159 2.0006 8.8023
1.5746 1.2739 6.0976
1.8905 -0.7267 8.8023
```